Diffraction record for BaCaZr2O6. The PXRD pattern is calculated, not measured: it uses a structure optimized by DFT (GGA-PBE) and CuKα.
Intensities are scaled so that the largest is 100.

Principal peaks in the range 2θ = 10–90°, most intense first:
30.03°, I 100; 53.32°, I 39; 42.99°, I 35; 62.42°, I 21; 86.54°, I 20; 70.80°, I 17; 10.52°, I 10; 23.64°, I 10; 78.78°, I 7; 31.90°, I 6

Atomic structure:
```
10
Lattice="4.2093 0.0000 0.0000 0.0000 4.2093 0.0000 0.0000 0.0000 8.4119" Properties=species:S:1:pos:R:3 pbc="T T T"
Ba 0.0000 0.0000 0.0000
Ca 0.0000 0.0000 4.2059
Zr 2.1047 2.1047 2.1467
Zr 2.1047 2.1047 6.2652
O 0.0000 2.1047 2.1807
O 0.0000 2.1047 6.2311
O 2.1047 0.0000 2.1807
O 2.1047 0.0000 6.2311
O 2.1047 2.1047 0.0000
O 2.1047 2.1047 4.2059
```

=====

Diffraction record for SiO2. The PXRD pattern is calculated, not measured: it uses a structure optimized by DFT (GGA-PBE) and CuKα.
Intensities are scaled so that the largest is 100.

Principal peaks in the range 2θ = 10–90°, most intense first:
19.24°, I 100; 27.99°, I 51; 24.05°, I 35; 21.76°, I 33; 19.70°, I 28; 32.74°, I 23; 15.33°, I 23; 25.33°, I 21; 37.85°, I 19; 33.00°, I 19

Atomic structure:
```
12
Lattice="5.2779 0.0000 0.0000 -2.5934 4.8527 0.0000 -1.0320 -1.2413 5.7785" Properties=species:S:1:pos:R:3 pbc="T T T"
Si 0.0000 0.0000 0.0000
Si -1.8355 2.6540 3.5198
Si 1.7592 0.4381 2.5449
Si 2.3230 0.9777 5.2939
O -3.0131 3.6214 4.2293
O -1.5118 1.6929 4.8322
O 0.8822 0.7204 1.1931
O -0.7384 3.6313 2.7684
O 1.2484 0.8975 4.0384
O 2.7685 -0.5290 5.7432
O 2.5765 3.2836 0.4900
O 3.0422 1.4775 2.4056
```

=====

Diffraction record for EuAg4Sb2. The PXRD pattern is calculated, not measured: it uses a structure optimized by DFT (GGA-PBE) and CuKα.
Intensities are scaled so that the largest is 100.

Principal peaks in the range 2θ = 10–90°, most intense first:
37.58°, I 100; 33.41°, I 93; 51.15°, I 27; 65.18°, I 25; 67.81°, I 17; 36.36°, I 13; 42.72°, I 13; 89.72°, I 11; 80.20°, I 10; 25.91°, I 9

Atomic structure:
```
7
Lattice="2.3937 1.3820 8.2047 -2.3937 1.3820 8.2047 0.0000 -2.7640 8.2047" Properties=species:S:1:pos:R:3 pbc="T T T"
Eu 0.0000 0.0000 0.0000
Ag 0.0000 0.0000 3.4958
Ag 0.0000 0.0000 10.6713
Ag 0.0000 0.0000 13.9429
Ag 0.0000 0.0000 21.1184
Sb 0.0000 0.0000 6.3788
Sb 0.0000 0.0000 18.2353
```

=====

Diffraction record for Hf2Sb2Pb4O13. The PXRD pattern is calculated, not measured: it uses a structure optimized by DFT (GGA-PBE) and CuKα.
Intensities are scaled so that the largest is 100.

Principal peaks in the range 2θ = 10–90°, most intense first:
28.74°, I 100; 33.31°, I 40; 47.85°, I 36; 56.71°, I 23; 56.81°, I 23; 79.72°, I 11; 77.41°, I 9; 47.72°, I 7; 89.30°, I 7; 69.95°, I 7

Atomic structure:
```
21
Lattice="-3.7973 3.8120 5.3775 3.7973 -3.8120 5.3775 3.7973 3.8120 -5.3775" Properties=species:S:1:pos:R:3 pbc="T T T"
Hf 0.0000 1.8999 0.0000
Hf 0.0000 5.7242 0.0000
Sb 1.9033 3.8120 -2.6951
Sb 1.8940 0.0000 2.6824
Pb 3.7973 1.9123 -0.0025
Pb 1.9029 0.0000 8.0559
Pb 1.8945 3.8120 2.6784
Pb 0.0000 1.8998 5.3750
O 3.7973 0.0000 1.9313
O 1.5387 2.3577 -1.3688
O 2.2586 -1.4544 4.0087
O 1.5201 1.4360 1.3530
O 6.0746 1.4360 1.3530
O 0.0000 0.0000 3.4173
O 1.5387 5.2664 -1.3688
O 2.2586 1.4544 4.0087
O 0.0000 3.8120 0.8287
O 0.0000 3.8120 4.0535
O 0.0000 0.0000 9.9527
O -2.2772 2.3760 6.7305
O 2.2772 2.3760 6.7305
```

=====

Diffraction record for SmAlF5. The PXRD pattern is calculated, not measured: it uses a structure optimized by DFT (GGA-PBE) and CuKα.
Intensities are scaled so that the largest is 100.

Principal peaks in the range 2θ = 10–90°, most intense first:
20.79°, I 100; 25.86°, I 90; 20.20°, I 90; 19.61°, I 56; 20.45°, I 55; 28.12°, I 54; 28.29°, I 50; 25.71°, I 49; 22.88°, I 44; 31.90°, I 39

Atomic structure:
```
56
Lattice="9.1897 0.0000 0.0000 2.7391 9.0128 0.0000 0.9001 3.0374 9.0576" Properties=species:S:1:pos:R:3 pbc="T T T"
Sm 0.0000 0.0000 0.0000
Sm 1.7519 5.4559 2.1818
Sm 2.8000 7.2535 7.0258
Sm 7.0037 6.9048 0.5163
Sm 6.6189 3.7933 7.3057
Sm 6.1914 1.3128 2.4432
Sm 8.2271 7.7010 6.1217
Sm 9.5113 2.6253 5.4305
Al 3.1524 2.5867 3.5465
Al 5.9376 11.0296 6.9323
Al 3.3987 1.9865 0.5701
Al 5.0460 7.0717 3.7776
Al 6.1963 6.9298 8.8950
Al 7.6770 4.8424 3.4867
Al 10.1281 9.9920 7.3604
Al 11.3670 8.7295 3.9241
F 1.3577 4.4571 0.1789
F 2.1329 6.9177 0.4720
F 2.8875 9.1140 5.5206
F 1.4718 2.0735 3.4047
F 4.1727 10.4071 7.1746
F 2.1996 3.5519 6.8733
F 1.6901 1.3575 0.7629
F 3.9193 8.5256 3.4891
F 2.7003 4.2007 4.1083
F 3.7532 6.2366 2.7325
F 2.9634 3.4199 1.8057
F 3.8092 5.4004 7.9388
F 4.2163 6.5799 5.2985
F 5.7025 10.7309 5.1761
F 5.8861 11.0378 8.7542
F 4.9347 7.7619 7.9132
F 3.7213 1.2438 2.3544
F 5.8986 7.6353 2.3193
F 5.3334 5.2768 0.9678
F 4.6573 2.9772 6.5693
F 6.2760 7.9516 4.7969
F 6.9357 9.5441 7.0950
F 4.8990 2.7045 3.8088
F 4.2333 0.4483 0.0524
F 6.0279 5.5064 3.6893
F 6.7661 6.1001 7.0676
F 7.8975 7.6024 8.5178
F 8.4613 8.2544 1.7110
F 7.1174 3.4634 2.5189
F 7.4899 3.9129 5.0813
F 8.3250 6.2577 4.3767
F 9.2685 8.9397 4.3194
F 8.3258 5.6203 1.9245
F 7.4174 1.3849 0.5456
F 8.9765 3.9695 7.2554
F 8.2662 1.4842 3.7591
F 9.9666 6.3602 6.7692
F 9.4075 4.2213 3.5746
F 10.9644 8.6309 2.2126
F 10.9720 7.0601 4.3174
```

=====

Diffraction record for AgSbTe2. The PXRD pattern is calculated, not measured: it uses a structure optimized by DFT (GGA-PBE) and CuKα.
Intensities are scaled so that the largest is 100.

Principal peaks in the range 2θ = 10–90°, most intense first:
29.10°, I 100; 41.92°, I 73; 29.51°, I 48; 51.85°, I 39; 41.63°, I 37; 76.17°, I 24; 68.36°, I 17; 68.58°, I 16; 69.21°, I 16; 60.33°, I 12

Atomic structure:
```
16
Lattice="6.1365 0.0000 0.0000 0.0000 6.1365 0.0000 0.0000 0.0000 12.1087" Properties=species:S:1:pos:R:3 pbc="T T T"
Ag 0.0000 0.0000 3.0272
Ag 0.0000 0.0000 9.0815
Ag 0.0000 3.0683 0.0000
Ag 3.0683 0.0000 6.0544
Sb 0.0000 0.0000 0.0000
Sb 0.0000 0.0000 6.0544
Sb 0.0000 3.0683 6.0544
Sb 3.0683 0.0000 0.0000
Te 0.0000 3.0683 2.9994
Te 0.0000 3.0683 9.1093
Te 3.0683 0.0000 3.0550
Te 3.0683 0.0000 9.0537
Te 3.0683 3.0683 0.0000
Te 3.0683 3.0683 3.0272
Te 3.0683 3.0683 6.0544
Te 3.0683 3.0683 9.0815
```